# 1
For Nd4Bi6Rh7, a structure optimized by DFT (GGA-PBE) gives the theoretical PXRD pattern in this record (Cu Kα (λ = 1.5418 Å)).
Lines closer than 0.1° are merged.

Crystal structure
```
data_Nd4Bi6Rh7
_chemical_formula_sum 'Nd8 Bi12 Rh14'
_cell_length_a 9.1130
_cell_length_b 9.1130
_cell_length_c 9.1130
_cell_angle_alpha 90.00
_cell_angle_beta 90.00
_cell_angle_gamma 90.00
_symmetry_space_group_name_H-M 'I m -3 m'
_symmetry_Int_Tables_number 229
_symmetry_space_group_name_Hall '-I 4 2 3'
loop_
_atom_site_label
_atom_site_type_symbol
_atom_site_fract_x
_atom_site_fract_y
_atom_site_fract_z
_atom_site_occupancy
Nd1 Nd 0.2500 0.2500 0.2500 1
Bi1 Bi 0.0000 0.0000 0.3169 1
Rh1 Rh 0.0000 0.0000 0.0000 1
Rh2 Rh 0.0000 0.2500 0.5000 1
```

Main lines, by angle (2θ = 10–80°):
index  d_spacing  2θ (°)  I (rel.)
2 1 1  3.720  23.9  16.0
3 1 0  2.882  31.0  28.9
2 2 2  2.631  34.1  100.0
4 0 0  2.278  39.6  58.8
3 3 0  2.148  42.1  38.2
3 3 2  1.943  46.8  22.9
4 4 0  1.611  57.2  24.3
6 2 2  1.374  68.3  18.5
6 3 1  1.344  70.0  15.7
6 3 3  1.240  76.9  20.7

# 2
For Nd3Bi2Rh, a structure optimized by DFT (GGA-PBE) gives the theoretical PXRD pattern in this record (Cu Kα (λ = 1.5418 Å)).
Lines closer than 0.1° are merged.

Crystal structure
```
data_Nd3Bi2Rh
_chemical_formula_sum 'Nd6 Bi4 Rh2'
_cell_length_a 4.3834
_cell_length_b 6.3868
_cell_length_c 13.5194
_cell_angle_alpha 90.00
_cell_angle_beta 90.00
_cell_angle_gamma 90.00
_symmetry_space_group_name_H-M 'I m m m'
_symmetry_Int_Tables_number 71
_symmetry_space_group_name_Hall '-I 2 2'
loop_
_atom_site_label
_atom_site_type_symbol
_atom_site_fract_x
_atom_site_fract_y
_atom_site_fract_z
_atom_site_occupancy
Nd1 Nd 0.0000 0.0000 0.0000 1
Nd2 Nd 0.0000 0.0000 0.3560 1
Bi1 Bi 0.0000 0.5000 0.3238 1
Rh1 Rh 0.0000 0.5000 0.0000 1
```

Main lines, by angle (2θ = 10–80°):
index  d_spacing  2θ (°)  I (rel.)
0 2 0  3.192  27.9  67.4
1 0 3  3.142  28.4  100.0
0 0 6  2.253  40.0  16.3
1 2 3  2.240  40.3  79.2
2 0 0  2.192  41.2  19.9
0 2 6  1.841  49.5  20.3
2 2 0  1.807  50.5  22.2
1 4 3  1.423  65.6  19.1
2 2 6  1.410  66.3  14.9
3 2 3  1.274  74.4  13.3

# 3
For NdBi3Rh, a structure optimized by DFT (GGA-PBE) gives the theoretical PXRD pattern in this record (Cu Kα (λ = 1.5418 Å)).
Lines closer than 0.1° are merged.

Crystal structure
```
data_NdBi3Rh
_chemical_formula_sum 'Nd4 Bi12 Rh4'
_cell_length_a 13.0844
_cell_length_b 6.5582
_cell_length_c 6.3243
_cell_angle_alpha 90.00
_cell_angle_beta 90.00
_cell_angle_gamma 90.00
_symmetry_space_group_name_H-M 'P b c m'
_symmetry_Int_Tables_number 57
_symmetry_space_group_name_Hall '-P 2c 2b'
loop_
_atom_site_label
_atom_site_type_symbol
_atom_site_fract_x
_atom_site_fract_y
_atom_site_fract_z
_atom_site_occupancy
Nd1 Nd 0.1973 0.0043 0.2500 1
Bi1 Bi 0.0013 0.2500 0.0000 1
Bi2 Bi 0.2675 0.5027 0.2500 1
Bi3 Bi 0.4426 0.6026 0.7500 1
Rh1 Rh 0.3968 0.2500 0.0000 1
```

Main lines, by angle (2θ = 10–80°):
index  d_spacing  2θ (°)  I (rel.)
3 1 1  3.149  28.3  59.4
1 0 2  3.074  29.1  34.3
2 2 0  2.931  30.5  94.8
2 0 2  2.845  31.4  75.8
4 1 1  2.657  33.7  100.0
5 0 0  2.619  34.2  49.4
3 0 2  2.560  35.1  39.5
0 2 2  2.276  39.6  97.0
7 0 0  1.869  48.7  34.6
2 4 2  1.421  65.7  39.0

# 4
For NdBi3Rh3, a structure optimized by DFT (GGA-PBE) gives the theoretical PXRD pattern in this record (Cu Kα (λ = 1.5418 Å)).
Lines closer than 0.1° are merged.

Crystal structure
```
data_NdBi3Rh3
_chemical_formula_sum 'Nd2 Bi6 Rh6'
_cell_length_a 7.3641
_cell_length_b 7.3641
_cell_length_c 7.3641
_cell_angle_alpha 90.00
_cell_angle_beta 90.00
_cell_angle_gamma 90.00
_symmetry_space_group_name_H-M 'P m -3 n'
_symmetry_Int_Tables_number 223
_symmetry_space_group_name_Hall '-P 4n 2 3'
loop_
_atom_site_label
_atom_site_type_symbol
_atom_site_fract_x
_atom_site_fract_y
_atom_site_fract_z
_atom_site_occupancy
Nd1 Nd 0.0000 0.0000 0.0000 1
Bi1 Bi 0.0000 0.2500 0.5000 1
Rh1 Rh 0.0000 0.5000 0.2500 1
```

Main lines, by angle (2θ = 10–80°):
index  d_spacing  2θ (°)  I (rel.)
1 1 0  5.207  17.0  25.2
2 0 0  3.682  24.2  41.9
2 1 0  3.293  27.1  23.5
2 1 1  3.006  29.7  100.0
2 2 2  2.126  42.5  38.4
3 2 1  1.968  46.1  60.4
4 0 0  1.841  49.5  34.5
4 2 0  1.647  55.8  17.2
5 2 1  1.345  70.0  17.6
4 4 0  1.302  72.6  22.3

# 5
For Nd5Bi4Ru, a structure optimized by DFT (GGA-PBE) gives the theoretical PXRD pattern in this record (Cu Kα (λ = 1.5418 Å)).
Lines closer than 0.1° are merged.

Crystal structure
```
data_Nd5Bi4Ru
_chemical_formula_sum 'Nd10 Bi8 Ru2'
_cell_length_a 10.0736
_cell_length_b 10.0736
_cell_length_c 6.4678
_cell_angle_alpha 90.00
_cell_angle_beta 90.00
_cell_angle_gamma 90.00
_symmetry_space_group_name_H-M 'I 4'
_symmetry_Int_Tables_number 79
_symmetry_space_group_name_Hall 'I 4'
loop_
_atom_site_label
_atom_site_type_symbol
_atom_site_fract_x
_atom_site_fract_y
_atom_site_fract_z
_atom_site_occupancy
Nd1 Nd 0.0000 0.0000 0.0000 1
Nd2 Nd 0.0933 0.2698 0.3993 1
Bi1 Bi 0.0880 0.3031 0.8989 1
Ru1 Ru 0.0000 0.0000 0.4381 1
```

Main lines, by angle (2θ = 10–80°):
index  d_spacing  2θ (°)  I (rel.)
0 0 2  3.234  27.6  48.0
1 3 0  3.186  28.0  100.0
1 3 2  2.269  39.7  73.6
4 2 0  2.253  40.0  34.7
4 2 2  1.848  49.3  34.2
2 6 0  1.593  57.9  10.5
1 3 4  1.442  64.6  15.2
2 6 2  1.429  65.3  12.7
7 1 0  1.425  65.5  13.2
7 1 2  1.304  72.5  17.0

# 6
For Nd6BiS4, a structure optimized by DFT (GGA-PBE) gives the theoretical PXRD pattern in this record (Cu Kα (λ = 1.5418 Å)).
Lines closer than 0.1° are merged.

Crystal structure
```
data_Nd6BiS4
_chemical_formula_sum 'Nd24 Bi4 S16'
_cell_length_a 4.1884
_cell_length_b 13.4337
_cell_length_c 20.8844
_cell_angle_alpha 90.00
_cell_angle_beta 90.00
_cell_angle_gamma 90.00
_symmetry_space_group_name_H-M 'C m c m'
_symmetry_Int_Tables_number 63
_symmetry_space_group_name_Hall '-C 2c 2'
loop_
_atom_site_label
_atom_site_type_symbol
_atom_site_fract_x
_atom_site_fract_y
_atom_site_fract_z
_atom_site_occupancy
Nd1 Nd 0.0000 0.0000 0.0000 1
Nd2 Nd 0.0000 0.1583 0.2500 1
Nd3 Nd 0.0000 0.2717 0.5844 1
Nd4 Nd 0.0000 0.4621 0.1561 1
Bi1 Bi 0.0000 0.1587 0.7500 1
S1 S 0.0000 0.0955 0.1221 1
S2 S 0.0000 0.3618 0.0386 1
```

Main lines, by angle (2θ = 10–80°):
index  d_spacing  2θ (°)  I (rel.)
0 4 2  3.197  27.9  18.9
1 1 4  3.175  28.1  59.2
0 2 6  3.090  28.9  78.7
1 3 1  3.026  29.5  31.1
1 3 2  2.936  30.5  100.0
1 3 3  2.800  32.0  27.7
2 0 0  2.094  43.2  29.9
1 5 4  2.075  43.6  19.0
2 2 6  1.734  52.8  29.5
1 3 10  1.725  53.1  25.3